[1]
For Tl2IrBr2F4, a DFT-relaxed cell (PBE, Alexandria) gives the simulated powder X-ray diffraction pattern in this record (Cu Kα, 1.54184 Å).
Intensities are scaled so that the largest is 100.

Most intense lines, 2θ = 10–90°, in order of rising 2θ:
| 2θ/deg | d/Å | Rel. int. |
| --- | --- | --- |
| 22.09 | 4.023 | 80 |
| 22.48 | 3.956 | 100 |
| 26.14 | 3.409 | 45 |
| 27.92 | 3.196 | 61 |
| 33.55 | 2.671 | 38 |
| 35.63 | 2.520 | 32 |
| 35.89 | 2.502 | 58 |
| 36.54 | 2.459 | 59 |
| 39.86 | 2.262 | 29 |
| 44.17 | 2.050 | 31 |
| 45.88 | 1.978 | 21 |
| 57.61 | 1.600 | 28 |

Atomic structure:
a = 6.840 Å, b = 6.840 Å, c = 5.489 Å
α = 91.02°, β = 91.02°, γ = 55.71°
Positions (direct):
Tl1 0.135 0.135 0.180
Tl2 0.865 0.865 0.820
Ir1 0.500 0.500 0.500
Br1 0.310 0.310 0.673
Br2 0.690 0.690 0.327
F1 0.230 0.678 0.274
F2 0.322 0.770 0.726
F3 0.678 0.230 0.274
F4 0.770 0.322 0.726

***

[2]
For Ac2Y2Ho5, a DFT-relaxed cell (PBE, Alexandria) gives the simulated powder X-ray diffraction pattern in this record (Cu Kα, 1.54184 Å).
Intensities are scaled so that the largest is 100.

Most intense lines, 2θ = 10–90°, in order of rising 2θ:
| 2θ/deg | d/Å | Rel. int. |
| --- | --- | --- |
| 27.52 | 3.241 | 12 |
| 27.77 | 3.213 | 11 |
| 30.29 | 2.951 | 15 |
| 30.51 | 2.930 | 100 |
| 30.83 | 2.900 | 21 |
| 31.55 | 2.836 | 15 |
| 31.66 | 2.827 | 43 |
| 31.86 | 2.808 | 16 |
| 39.23 | 2.297 | 11 |
| 48.98 | 1.860 | 13 |
| 53.51 | 1.712 | 11 |
| 58.85 | 1.569 | 14 |

Atomic structure:
a = 3.719 Å, b = 7.430 Å, c = 12.015 Å
α = 93.58°, β = 98.89°, γ = 104.49°
Positions (direct):
Ac1 0.239 0.341 0.139
Ac2 0.761 0.659 0.861
Y1 0.249 0.888 0.609
Y2 0.751 0.112 0.391
Ho1 0.015 0.713 0.319
Ho2 0.500 0.112 0.887
Ho3 0.500 0.500 0.500
Ho4 0.500 0.888 0.113
Ho5 0.985 0.287 0.681

***

[3]
For Sr3P14, a DFT-relaxed cell (PBE, Alexandria) gives the simulated powder X-ray diffraction pattern in this record (Cu Kα, 1.54184 Å).
Intensities are scaled so that the largest is 100.

Most intense lines, 2θ = 10–90°, in order of rising 2θ:
| 2θ/deg | d/Å | Rel. int. |
| --- | --- | --- |
| 17.88 | 4.960 | 44 |
| 19.60 | 4.529 | 40 |
| 23.70 | 3.754 | 25 |
| 27.73 | 3.217 | 38 |
| 30.27 | 2.953 | 36 |
| 30.87 | 2.897 | 100 |
| 31.15 | 2.871 | 44 |
| 31.31 | 2.857 | 24 |
| 32.45 | 2.759 | 53 |
| 32.61 | 2.746 | 26 |
| 33.46 | 2.678 | 21 |
| 44.72 | 2.026 | 23 |

Atomic structure:
a = 6.379 Å, b = 12.862 Å, c = 11.828 Å
α = 90.00°, β = 122.57°, γ = 90.00°
Positions (direct):
Sr1 0.000 0.000 0.000
Sr2 0.000 0.500 0.500
Sr3 0.197 0.159 0.390
Sr4 0.197 0.341 0.890
Sr5 0.803 0.659 0.110
Sr6 0.803 0.841 0.610
P1 0.024 0.149 0.647
P2 0.024 0.351 0.147
P3 0.243 0.226 0.139
P4 0.243 0.274 0.639
P5 0.250 0.004 0.683
P6 0.250 0.496 0.183
P7 0.280 0.082 0.860
P8 0.280 0.418 0.360
P9 0.380 0.709 0.729
P10 0.380 0.791 0.229
P11 0.387 0.676 0.549
P12 0.387 0.824 0.049
P13 0.427 0.553 0.819
P14 0.427 0.947 0.319
P15 0.573 0.053 0.681
P16 0.573 0.447 0.181
P17 0.613 0.176 0.951
P18 0.613 0.324 0.451
P19 0.620 0.209 0.771
P20 0.620 0.291 0.271
P21 0.720 0.582 0.640
P22 0.720 0.918 0.140
P23 0.750 0.504 0.817
P24 0.750 0.996 0.317
P25 0.757 0.726 0.361
P26 0.757 0.774 0.861
P27 0.976 0.649 0.853
P28 0.976 0.851 0.353